Structure and calculated XRD peak list of Mn2Al2InO6 (a structure optimized by DFT (PBE+U); Cu Kα).
Intensities are scaled so that the largest is 100.

Crystal structure
```
Mn2Al2InO6
1.0
5.267 0.000 0.000
-2.633 4.561 0.000
0.000 0.000 5.419
Mn Al In O
2 2 1 6
direct
0.333 0.667 0.000 Mn
0.667 0.333 0.000 Mn
0.333 0.667 0.500 Al
0.667 0.333 0.500 Al
0.000 0.000 0.500 In
0.000 0.397 0.710 O
0.000 0.603 0.290 O
0.397 0.000 0.710 O
0.397 0.397 0.290 O
0.603 0.000 0.290 O
0.603 0.603 0.710 O
```

Principal peaks in the range 5 to 70 degrees two-theta, sorted by position:
2θ 16.36, I = 18, hkl 0 0 1; 2θ 25.53, I = 100, hkl 1 0 1; 2θ 33.06, I = 16, hkl 0 0 2; 2θ 34.05, I = 68, hkl 1 1 0; 2θ 37.99, I = 12, hkl 2 -1 1; 2θ 43.03, I = 30, hkl 2 0 1; 2θ 48.19, I = 88, hkl 2 -1 2; 2θ 54.65, I = 14, hkl 1 0 3; 2θ 55.98, I = 24, hkl 2 1 1; 2θ 60.94, I = 22, hkl 3 0 0